SmDy3B4O12: computed PXRD pattern (Cu Kα (weighted mean of Kα1 and Kα2)), based on a cell relaxed with PBE.
Lines closer than 0.1° are merged.

Top 6 peaks for 10° ≤ 2θ ≤ 80°, sorted by position:
d/Å, Position (°2θ), I/Imax
3.909, 22.7, 100
3.063, 29.2, 95
2.539, 35.3, 32
2.129, 42.5, 22
1.920, 47.4, 29
1.894, 48.0, 36

Crystal structure
```
SmDy3B4O12
1.0
5.078 2.932 2.845
-5.078 2.932 2.845
0.000 -5.864 2.845
Sm Dy B O
1 3 4 12
Cartesian
0.000 0.000 0.000 Sm
-2.710 -1.170 2.845 Dy
-2.710 1.170 5.690 Dy
0.342 2.932 2.845 Dy
-2.364 -4.095 4.267 B
0.000 0.000 4.267 B
-2.364 4.095 4.267 B
4.728 0.000 4.267 B
-3.098 -2.911 4.247 O
-4.050 0.000 4.267 O
-0.972 -4.138 4.288 O
-3.098 2.911 4.288 O
-1.379 0.000 4.267 O
2.025 -3.508 4.267 O
0.689 -1.194 4.267 O
0.689 1.194 4.267 O
-0.972 4.138 4.247 O
4.070 -1.228 4.247 O
2.025 3.508 4.267 O
4.070 1.228 4.288 O
```

Nd3Rh2Cl: computed PXRD pattern (Cu Kα (weighted mean of Kα1 and Kα2)), based on a cell relaxed with PBE.
Lines closer than 0.1° are merged.

Top 6 peaks for 10° ≤ 2θ ≤ 80°, sorted by position:
d/Å, Position (°2θ), I/Imax
7.820, 11.3, 59
3.064, 29.1, 23
3.018, 29.6, 52
2.696, 33.2, 100
2.219, 40.7, 53
2.053, 44.1, 24

Crystal structure
```
Nd3Rh2Cl
1.0
2.053 -7.820 0.000
2.053 7.820 0.000
0.000 0.000 9.815
Nd Rh Cl
6 4 2
Cartesian
2.053 5.988 5.482 Nd
2.053 5.988 9.239 Nd
2.053 2.011 7.361 Nd
2.053 -2.011 2.454 Nd
2.053 -5.988 0.575 Nd
2.053 -5.988 4.332 Nd
2.053 7.580 2.454 Rh
2.053 0.000 0.000 Rh
2.053 0.000 4.907 Rh
2.053 -7.580 7.361 Rh
2.053 3.417 2.454 Cl
2.053 -3.417 7.361 Cl
```

RbPO2F2: computed PXRD pattern (Cu Kα (weighted mean of Kα1 and Kα2)), based on a cell relaxed with PBE.
Lines closer than 0.1° are merged.

Top 6 peaks for 10° ≤ 2θ ≤ 80°, sorted by position:
d/Å, Position (°2θ), I/Imax
3.612, 24.6, 48
3.555, 25.0, 100
3.247, 27.5, 66
3.156, 28.3, 69
2.455, 36.6, 25
2.415, 37.2, 44

Crystal structure
```
RbPO2F2
1.0
8.496 0.000 0.000
0.000 6.494 0.000
0.000 0.000 7.981
Rb P O F
4 4 8 8
Cartesian
1.275 1.623 1.169 Rb
2.973 4.870 5.159 Rb
5.523 1.623 2.821 Rb
7.221 4.870 6.812 Rb
0.806 1.623 5.541 P
3.442 4.870 1.551 P
5.054 1.623 6.430 P
7.690 4.870 2.439 P
0.849 0.315 6.250 O
0.849 2.932 6.250 O
3.399 3.562 2.260 O
3.399 6.179 2.260 O
5.097 0.315 5.721 O
5.097 2.932 5.721 O
7.647 3.562 1.730 O
7.647 6.179 1.730 O
0.440 4.870 3.445 F
1.944 1.623 4.413 F
2.304 4.870 0.423 F
3.808 1.623 7.436 F
4.688 4.870 0.545 F
6.192 1.623 7.558 F
6.552 4.870 3.568 F
8.056 1.623 4.535 F
```

CeHo2PuAs4: computed PXRD pattern (Cu Kα (weighted mean of Kα1 and Kα2)), based on a cell relaxed with PBE.
Lines closer than 0.1° are merged.

Top 6 peaks for 10° ≤ 2θ ≤ 80°, sorted by position:
d/Å, Position (°2θ), I/Imax
3.380, 26.4, 28
2.927, 30.5, 100
2.070, 43.7, 63
1.765, 51.8, 14
1.690, 54.3, 20
1.309, 72.2, 28

Crystal structure
```
CeHo2PuAs4
1.0
7.166 0.000 0.000
0.000 4.144 0.000
-2.400 0.000 6.755
Ce Ho Pu As
1 2 1 4
Cartesian
0.000 0.000 0.000 Ce
2.383 0.000 3.377 Ho
3.583 2.072 0.000 Ho
-1.200 2.072 3.377 Pu
0.008 0.000 5.058 As
1.214 2.072 1.704 As
3.552 2.072 5.051 As
4.758 0.000 1.696 As
```

Er6HgPd: computed PXRD pattern (Cu Kα (weighted mean of Kα1 and Kα2)), based on a cell relaxed with PBE.
Lines closer than 0.1° are merged.

Top 6 peaks for 10° ≤ 2θ ≤ 80°, sorted by position:
d/Å, Position (°2θ), I/Imax
3.182, 28.0, 38
2.877, 31.1, 28
2.851, 31.4, 70
2.640, 34.0, 100
1.947, 46.7, 39
1.927, 47.2, 39

Crystal structure
```
Er6HgPd
1.0
6.806 0.000 0.000
0.000 11.507 0.000
-2.831 0.000 6.096
Er Hg Pd
12 2 2
Cartesian
0.886 2.268 1.487 Er
0.886 9.240 1.487 Er
-0.564 0.000 4.669 Er
1.136 5.754 1.428 Er
-0.314 3.486 4.609 Er
-0.314 8.021 4.609 Er
4.289 3.486 1.487 Er
4.289 8.021 1.487 Er
2.839 5.754 4.669 Er
4.539 0.000 1.428 Er
3.089 2.268 4.609 Er
3.089 9.240 4.609 Er
-1.415 5.754 3.048 Hg
1.988 0.000 3.048 Hg
0.000 0.000 0.000 Pd
3.403 5.754 0.000 Pd
```

Ac2Sn3Hg4: computed PXRD pattern (Cu Kα (weighted mean of Kα1 and Kα2)), based on a cell relaxed with PBE.
Lines closer than 0.1° are merged.

Top 6 peaks for 10° ≤ 2θ ≤ 80°, sorted by position:
d/Å, Position (°2θ), I/Imax
2.920, 30.6, 43
2.877, 31.1, 58
2.863, 31.2, 67
2.697, 33.2, 32
2.683, 33.4, 100
1.757, 52.0, 30

Crystal structure
```
Ac2Sn3Hg4
1.0
3.306 -8.465 0.000
3.306 8.465 0.000
0.000 0.000 9.178
Ac Sn Hg
4 6 8
Cartesian
3.306 6.437 8.533 Ac
3.306 2.028 3.944 Ac
3.306 -2.028 5.234 Ac
3.306 -6.437 0.645 Ac
0.000 0.000 4.589 Sn
1.653 3.636 6.883 Sn
1.653 -3.636 2.294 Sn
3.306 0.000 0.000 Sn
4.960 3.636 6.883 Sn
4.960 -3.636 2.294 Sn
3.306 5.463 5.002 Hg
1.653 0.675 6.883 Hg
1.653 -0.675 2.294 Hg
3.306 3.001 0.413 Hg
3.306 -3.001 8.765 Hg
4.960 0.675 6.883 Hg
4.960 -0.675 2.294 Hg
3.306 -5.463 4.176 Hg
```

Sr5Li6: computed PXRD pattern (Cu Kα (weighted mean of Kα1 and Kα2)), based on a cell relaxed with PBE.
Lines closer than 0.1° are merged.

Top 6 peaks for 10° ≤ 2θ ≤ 80°, sorted by position:
d/Å, Position (°2θ), I/Imax
4.288, 20.7, 31
4.209, 21.1, 100
3.244, 27.5, 93
3.133, 28.5, 61
2.124, 42.6, 34
2.006, 45.2, 34

Crystal structure
```
Sr5Li6
1.0
2.611 -17.776 0.000
2.611 17.776 0.000
0.000 0.000 4.419
Sr Li
5 6
Cartesian
0.000 0.000 0.000 Sr
2.611 10.874 2.209 Sr
2.611 4.244 0.000 Sr
2.611 -4.244 0.000 Sr
2.611 -10.874 2.209 Sr
2.611 14.747 2.209 Li
2.611 8.023 0.000 Li
2.611 1.440 2.209 Li
2.611 -1.440 2.209 Li
2.611 -8.023 0.000 Li
2.611 -14.747 2.209 Li
```

DyHo3Pd6: computed PXRD pattern (Cu Kα (weighted mean of Kα1 and Kα2)), based on a cell relaxed with PBE.
Lines closer than 0.1° are merged.

Top 6 peaks for 10° ≤ 2θ ≤ 80°, sorted by position:
d/Å, Position (°2θ), I/Imax
2.453, 36.6, 29
2.435, 36.9, 25
2.408, 37.3, 100
1.728, 53.0, 19
1.408, 66.4, 18
1.401, 66.8, 14

Crystal structure
```
DyHo3Pd6
1.0
8.294 0.000 0.000
0.000 4.907 0.000
-3.002 0.000 9.858
Dy Ho Pd
2 6 12
Cartesian
-0.629 1.227 3.820 Dy
5.921 3.680 6.038 Dy
1.708 1.227 0.131 Ho
0.546 3.680 7.954 Ho
2.127 1.227 6.049 Ho
3.165 3.680 3.809 Ho
4.746 1.227 1.904 Ho
3.585 3.680 9.727 Ho
-2.057 3.680 8.852 Pd
0.611 3.680 1.978 Pd
-0.813 1.227 6.894 Pd
0.492 3.680 5.068 Pd
2.088 1.227 3.006 Pd
3.415 3.680 0.922 Pd
1.877 1.227 8.936 Pd
3.204 3.680 6.852 Pd
4.801 1.227 4.790 Pd
6.105 3.680 2.964 Pd
4.681 1.227 7.880 Pd
7.349 1.227 1.006 Pd
```

K3Tc2Cl8: computed PXRD pattern (Cu Kα (weighted mean of Kα1 and Kα2)), based on a cell relaxed with PBE.
Lines closer than 0.1° are merged.

Top 6 peaks for 10° ≤ 2θ ≤ 80°, sorted by position:
d/Å, Position (°2θ), I/Imax
6.652, 13.3, 100
6.493, 13.6, 84
2.917, 30.6, 54
2.774, 32.3, 72
2.661, 33.7, 38
1.805, 50.6, 32

Crystal structure
```
K3Tc2Cl8
1.0
12.986 0.000 0.000
-6.493 11.246 0.000
0.000 0.000 8.249
K Tc Cl
9 6 24
Cartesian
-4.565 7.907 1.375 K
-0.968 5.724 6.242 K
1.928 3.339 4.125 K
-1.051 9.222 3.492 K
2.020 7.545 0.742 K
5.441 2.023 2.008 K
5.525 5.522 7.507 K
9.130 0.000 6.875 K
8.512 3.701 4.757 K
-1.765 4.925 1.917 Tc
-1.345 10.312 7.416 Tc
5.147 0.934 6.333 Tc
3.110 7.255 4.667 Tc
4.728 6.321 3.583 Tc
9.603 3.991 0.833 Tc
-1.263 3.427 3.702 Cl
-2.819 6.288 3.606 Cl
-2.970 9.029 6.318 Cl
0.158 4.159 0.818 Cl
-1.395 7.027 0.830 Cl
-2.894 10.626 0.953 Cl
3.599 0.620 4.547 Cl
3.522 2.216 7.431 Cl
1.105 6.524 3.579 Cl
0.290 8.941 6.329 Cl
2.457 5.660 6.355 Cl
0.362 10.543 0.856 Cl
3.674 4.958 1.894 Cl
6.855 0.702 4.644 Cl
5.098 4.219 4.670 Cl
6.783 2.305 7.420 Cl
2.812 9.304 3.568 Cl
4.157 8.439 6.452 Cl
5.230 7.819 1.797 Cl
7.598 4.722 1.920 Cl
9.305 1.942 1.932 Cl
6.651 7.087 4.682 Cl
8.950 5.586 7.394 Cl
10.649 2.807 7.297 Cl
```

TlHgSbPb2: computed PXRD pattern (Cu Kα (weighted mean of Kα1 and Kα2)), based on a cell relaxed with PBE.
Lines closer than 0.1° are merged.

Top 6 peaks for 10° ≤ 2θ ≤ 80°, sorted by position:
d/Å, Position (°2θ), I/Imax
3.407, 26.2, 50
3.097, 28.8, 100
3.077, 29.0, 98
2.475, 36.3, 85
2.416, 37.2, 91
1.492, 62.2, 27

Crystal structure
```
TlHgSbPb2
1.0
3.430 -7.205 0.000
3.430 7.205 0.000
0.000 0.000 6.807
Tl Hg Sb Pb
2 2 2 4
Cartesian
3.430 3.703 5.105 Tl
3.430 -3.703 1.702 Tl
3.430 2.122 1.702 Hg
3.430 -2.122 5.105 Hg
3.430 5.032 1.702 Sb
3.430 -5.032 5.105 Sb
1.688 0.000 0.000 Pb
1.688 0.000 3.403 Pb
5.173 0.000 0.000 Pb
5.173 0.000 3.403 Pb
```

Na2MnCl4: computed PXRD pattern (Cu Kα (weighted mean of Kα1 and Kα2)), based on a cell relaxed with PBE.
Lines closer than 0.1° are merged.

Top 6 peaks for 10° ≤ 2θ ≤ 80°, sorted by position:
d/Å, Position (°2θ), I/Imax
6.008, 14.7, 96
3.003, 29.8, 100
2.955, 30.2, 93
2.802, 31.9, 57
2.241, 40.2, 61
2.022, 44.8, 65

Crystal structure
```
Na2MnCl4
1.0
13.741 0.000 0.000
0.000 3.917 0.000
-3.423 0.000 6.208
Na Mn Cl
4 2 8
Cartesian
2.178 0.000 1.194 Na
1.269 1.958 5.013 Na
9.049 1.958 1.194 Na
8.140 0.000 5.013 Na
-1.712 1.958 3.104 Mn
5.159 0.000 3.104 Mn
-1.564 1.958 5.533 Cl
0.081 0.000 3.067 Cl
3.366 1.958 3.140 Cl
5.012 0.000 0.674 Cl
5.306 0.000 5.533 Cl
6.952 1.958 3.067 Cl
10.237 0.000 3.140 Cl
11.883 1.958 0.674 Cl
```

LiThGa2: computed PXRD pattern (Cu Kα (weighted mean of Kα1 and Kα2)), based on a cell relaxed with PBE.
Lines closer than 0.1° are merged.

Top 6 peaks for 10° ≤ 2θ ≤ 80°, sorted by position:
d/Å, Position (°2θ), I/Imax
3.831, 23.2, 34
2.974, 30.0, 24
2.742, 32.7, 30
2.687, 33.3, 100
2.436, 36.9, 18
2.139, 42.3, 17

Crystal structure
```
LiThGa2
1.0
4.278 0.000 0.000
0.000 17.860 0.000
0.000 0.000 4.241
Li Th Ga
4 4 8
Cartesian
0.000 3.151 1.060 Li
0.000 14.709 3.181 Li
2.139 5.779 3.181 Li
2.139 12.081 1.060 Li
0.000 7.095 1.060 Th
0.000 10.765 3.181 Th
2.139 1.835 3.181 Th
2.139 16.025 1.060 Th
0.000 0.688 1.060 Ga
0.000 4.485 3.181 Ga
0.000 13.375 1.060 Ga
0.000 17.171 3.181 Ga
2.139 4.445 1.060 Ga
2.139 8.242 3.181 Ga
2.139 9.618 1.060 Ga
2.139 13.415 3.181 Ga
```